For RbNbBr3, a structure optimized by DFT (PBE) gives the theoretical powder XRD pattern in this record (a wavelength of 1.5418 Å).
Lines closer than 0.1° are merged.

Main lines, in order of rising 2θ (2θ from 5° to 70°):
16.41°, I = 27, hkl 1 0 0; 23.02°, I = 28, hkl 1 0 1; 28.41°, I = 93, hkl 1 1 1; 32.40°, I = 48, hkl 0 0 2; 33.17°, I = 100, hkl 2 0 0; 40.28°, I = 16, hkl 1 1 2; 47.05°, I = 66, hkl 2 0 2; 47.62°, I = 35, hkl 2 2 0; 56.38°, I = 26, hkl 3 1 1; 58.78°, I = 34, hkl 2 2 2

Atomic structure:
abc: 5.4010 5.4010 5.5271
angles: 90.00 90.00 90.00
Space group P4mm (No. 99)
Unique sites:
Rb1 0.0000 0.0000 0.0000 (multiplicity 1)
Nb1 0.5000 0.5000 0.4827 (multiplicity 1)
Br1 0.0000 0.5000 0.5430 (multiplicity 2)
Br2 0.5000 0.5000 0.9990 (multiplicity 1)



For Rb3Nb2Br9, a structure optimized by DFT (PBE) gives the theoretical powder XRD pattern in this record (a wavelength of 1.5418 Å).
Lines closer than 0.1° are merged.

Main lines, in order of rising 2θ (2θ from 5° to 70°):
14.20°, I = 43, hkl 1 0 1; 28.62°, I = 65, hkl 2 0 2; 29.89°, I = 30, hkl 0 0 6; 30.75°, I = 100, hkl 2 0 3; 33.54°, I = 66, hkl 2 0 4; 36.85°, I = 21, hkl 2 0 5; 44.64°, I = 23, hkl 2 0 7; 47.32°, I = 61, hkl 2 2 0; 48.99°, I = 20, hkl 2 0 8; 56.99°, I = 27, hkl 2 2 6

Atomic structure:
abc: 7.6834 7.6834 17.9368
angles: 90.00 90.00 120.00
Space group P6_3/mmc (No. 194)
Unique sites:
Rb1 0.0000 0.0000 0.2500 (multiplicity 2)
Rb2 0.3333 0.6667 0.0686 (multiplicity 4)
Nb1 0.3333 0.6667 0.6746 (multiplicity 4)
Br1 0.0167 0.5084 0.2500 (multiplicity 6)
Br2 0.1711 0.3423 0.5920 (multiplicity 12)



For Nb2Tl5S4Br9, a structure optimized by DFT (PBE) gives the theoretical powder XRD pattern in this record (a wavelength of 1.5418 Å).
Lines closer than 0.1° are merged.

Main lines, in order of rising 2θ (2θ from 5° to 70°):
20.38°, I = 93, hkl 1 0 3; 21.71°, I = 49, hkl 1 2 1; 24.14°, I = 64, hkl 2 0 0; 27.98°, I = 87, hkl 0 2 4; 29.77°, I = 54, hkl 2 2 0; 30.78°, I = 62, hkl 0 3 3; 31.80°, I = 100, hkl 2 2 2; 32.85°, I = 39, hkl 2 0 4; 34.72°, I = 48, hkl 0 4 0; 37.97°, I = 53, hkl 2 1 5

Atomic structure:
abc: 7.3728 10.3347 16.2081
angles: 90.00 90.00 90.00
Space group Immm (No. 71)
Unique sites:
Nb1 0.0000 0.0000 0.0898 (multiplicity 4)
Tl1 0.0000 0.2176 0.3351 (multiplicity 8)
Tl2 0.0000 0.5000 0.0000 (multiplicity 2)
S1 0.2423 0.0978 0.0000 (multiplicity 8)
Br1 0.0000 0.0000 0.5000 (multiplicity 2)
Br2 0.0000 0.2621 0.1342 (multiplicity 8)
Br3 0.2470 0.0000 0.2134 (multiplicity 8)



For NbTeBr9, a structure optimized by DFT (PBE) gives the theoretical powder XRD pattern in this record (a wavelength of 1.5418 Å).
Lines closer than 0.1° are merged.

Main lines, in order of rising 2θ (2θ from 5° to 70°):
15.31°, I = 40, hkl 0 2 0; 15.55°, I = 61, hkl 1 1 0; 27.52°, I = 40, hkl 0 0 3; 29.19°, I = 55, hkl 2 0 -2; 29.39°, I = 100, hkl 1 3 1; 30.76°, I = 89, hkl 2 0 1; 36.40°, I = 72, hkl 1 3 -3; 46.88°, I = 54, hkl 3 3 -1; 47.11°, I = 27, hkl 0 6 0; 48.92°, I = 25, hkl 1 3 4

Atomic structure:
abc: 6.7241 11.5756 9.9904
angles: 90.00 103.25 90.00
Space group P2_1/m (No. 11)
Unique sites:
Nb1 0.1427 0.2500 0.1384 (multiplicity 2)
Te1 0.2590 0.2500 0.5354 (multiplicity 2)
Br1 0.0323 0.7500 0.3401 (multiplicity 2)
Br2 0.0400 0.0971 0.3099 (multiplicity 4)
Br3 0.2111 0.7500 0.9975 (multiplicity 2)
Br4 0.2641 0.0912 0.0150 (multiplicity 4)
Br5 0.4627 0.0854 0.6723 (multiplicity 4)
Br6 0.4992 0.7500 0.6804 (multiplicity 2)



For Nd4Br9, a structure optimized by DFT (PBE) gives the theoretical powder XRD pattern in this record (a wavelength of 1.5418 Å).
Lines closer than 0.1° are merged.

Main lines, in order of rising 2θ (2θ from 5° to 70°):
17.12°, I = 46, hkl 1 1 0; 20.93°, I = 71, hkl 1 1 -4; 21.16°, I = 53, hkl 1 1 4; 30.93°, I = 35, hkl 2 1 5; 31.80°, I = 42, hkl 1 2 -5; 34.30°, I = 36, hkl 2 0 8; 34.61°, I = 46, hkl 2 2 0; 35.44°, I = 100, hkl 0 2 8; 37.56°, I = 68, hkl 3 1 0; 42.16°, I = 36, hkl 1 3 4

Atomic structure:
abc: 7.6384 7.0497 29.1530
angles: 90.00 90.97 90.00
Space group Pc (No. 7)
Unique sites:
Nd1 0.0000 0.0110 0.0000 (multiplicity 2)
Nd2 0.1017 0.4750 0.8842 (multiplicity 2)
Nd3 0.1473 0.4574 0.1227 (multiplicity 2)
Nd4 0.4599 0.4746 0.7624 (multiplicity 2)
Nd5 0.5050 0.4683 0.9989 (multiplicity 2)
Nd6 0.6010 0.0189 0.8859 (multiplicity 2)
Nd7 0.6470 0.0231 0.1216 (multiplicity 2)
Nd8 0.9621 0.0440 0.7638 (multiplicity 2)
Br1 0.1373 0.3265 0.2929 (multiplicity 2)
Br2 0.1458 0.3824 0.4879 (multiplicity 2)
Br3 0.1996 0.2665 0.7015 (multiplicity 2)
Br4 0.2843 0.1752 0.8215 (multiplicity 2)
Br5 0.2981 0.1772 0.9422 (multiplicity 2)
Br6 0.3264 0.1644 0.0628 (multiplicity 2)
Br7 0.4151 0.2549 0.1828 (multiplicity 2)
Br8 0.4644 0.3827 0.3954 (multiplicity 2)
Br9 0.4677 0.3402 0.5913 (multiplicity 2)
Br10 0.6374 0.1296 0.4883 (multiplicity 2)
Br11 0.6419 0.1646 0.2930 (multiplicity 2)
Br12 0.6998 0.2485 0.7018 (multiplicity 2)
Br13 0.7748 0.3313 0.8225 (multiplicity 2)
Br14 0.8059 0.3108 0.9426 (multiplicity 2)
Br15 0.8282 0.3185 0.0633 (multiplicity 2)
Br16 0.9143 0.2233 0.1829 (multiplicity 2)
Br17 0.9605 0.1303 0.3968 (multiplicity 2)
Br18 0.9662 0.1823 0.5914 (multiplicity 2)



For Nd3Br2, a structure optimized by DFT (PBE) gives the theoretical powder XRD pattern in this record (a wavelength of 1.5418 Å).
Lines closer than 0.1° are merged.

Main lines, in order of rising 2θ (2θ from 5° to 70°):
26.70°, I = 9, hkl 0 0 6; 27.82°, I = 100, hkl 1 1 3; 36.44°, I = 50, hkl 1 1 6; 42.83°, I = 39, hkl 3 0 0; 47.84°, I = 23, hkl 1 1 9; 51.19°, I = 10, hkl 3 0 6; 51.85°, I = 18, hkl 2 2 3; 57.47°, I = 13, hkl 2 2 6; 66.14°, I = 8, hkl 2 2 9; 69.44°, I = 14, hkl 4 1 3

Atomic structure:
abc: 7.3136 7.3136 20.0320
angles: 90.00 90.00 120.00
Space group R-3c (No. 167, hexagonal axes)
Unique sites:
Nd1 0.0000 0.3418 0.2500 (multiplicity 18)
Br1 0.0000 0.0000 0.1659 (multiplicity 12)